[1]
# CuH8C6N6O2
Computed X-ray powder pattern, λ = 1.5418 Å (Cu Kα). Input: a GGA-PBE-relaxed structure.
No peak broadening, texture or thermal motion is included.

Atomic structure:
Lattice parameters (Å, degrees): 13.4271 7.2503 6.5601 90.00 115.55 90.00
Space group C2/m (No. 12)
Inequivalent atoms, fractional coordinates:
Cu: 0.0000 0.0000 0.0000 x2
H: 0.1813 0.5000 0.3700 x4
H: 0.1959 0.1231 0.5864 x8
H: 0.2411 0.5000 0.7339 x4
C: 0.0713 0.3433 0.8213 x8
C: 0.2282 0.0000 0.5373 x4
N: 0.0389 0.1960 0.8375 x8
N: 0.1115 0.5000 0.7942 x4
O: 0.1939 0.0000 0.2979 x4

Top 6 peaks for 5 to 70 degrees two-theta, by angle:
index  Position (°2θ)  I_rel
1 1 0  14.24  44.6
2 0 0  14.62  64.8
0 0 1  14.97  49.5
1 1 -1  18.26  94.8
3 1 -1  24.01  65.8
2 0 1  25.18  100.0

[2]
# Pr2Sm3Y8
Computed X-ray powder pattern, λ = 1.5418 Å (Cu Kα). Input: a GGA-PBE-relaxed structure.
No peak broadening, texture or thermal motion is included.

Atomic structure:
Lattice parameters (Å, degrees): 20.6781 7.7150 5.6730 90.00 90.02 90.00
Space group C2/m (No. 12)
Inequivalent atoms, fractional coordinates:
Pr: 0.2412 0.0000 0.4993 x4
Sm: 0.0000 0.0000 0.5000 x2
Sm: 0.0000 0.2901 0.0000 x4
Y: 0.1067 0.2885 0.5002 x8
Y: 0.1306 0.0000 0.9999 x4
Y: 0.1654 0.5000 0.0005 x4

Top 6 peaks for 5 to 70 degrees two-theta, by angle:
index  Position (°2θ)  I_rel
2 2 0  24.63  22.0
5 1 1  29.12  29.4
6 0 -1  30.35  30.1
0 0 2  31.54  38.3
4 2 1  33.00  100.0
4 2 -3  57.09  25.6

[3]
# RuRhAu2
Computed X-ray powder pattern, λ = 1.5418 Å (Cu Kα). Input: a GGA-PBE-relaxed structure.
No peak broadening, texture or thermal motion is included.

Atomic structure:
Lattice parameters (Å, degrees): 2.8145 2.8145 8.1277 90.00 90.00 90.00
Space group P4mm (No. 99)
Inequivalent atoms, fractional coordinates:
Ru: 0.0000 0.0000 0.0000 x1
Rh: 0.5000 0.5000 0.7938 x1
Au: 0.0000 0.0000 0.5329 x1
Au: 0.5000 0.5000 0.2572 x1

Top 6 peaks for 5 to 70 degrees two-theta, by angle:
index  Position (°2θ)  I_rel
1 0 1  33.70  13.0
1 0 2  38.92  100.0
0 0 4  44.59  14.9
1 1 0  45.58  33.4
1 1 4  65.67  18.9
2 0 0  66.43  18.3

[4]
# SrCa9Pr4
Computed X-ray powder pattern, λ = 1.5418 Å (Cu Kα). Input: a GGA-PBE-relaxed structure.
No peak broadening, texture or thermal motion is included.

Atomic structure:
Lattice parameters (Å, degrees): 10.7340 10.7340 12.0149 90.00 90.00 120.00
Space group P6_3/mmc (No. 194)
Inequivalent atoms, fractional coordinates:
Sr: 0.3333 0.6667 0.2500 x2
Ca: 0.0867 0.5434 0.7500 x6
Ca: 0.2013 0.4026 0.0283 x12
Pr: 0.0000 0.0000 0.0000 x2
Pr: 0.1042 0.2084 0.7500 x6

Top 6 peaks for 5 to 70 degrees two-theta, by angle:
index  Position (°2θ)  I_rel
1 0 0  9.51  88.0
2 0 1  20.49  22.5
2 1 2  29.45  100.0
0 0 4  29.76  63.2
3 1 1  35.61  19.1
4 0 2  41.67  19.6

[5]
# Be2VH4
Computed X-ray powder pattern, λ = 1.5418 Å (Cu Kα). Input: a GGA-PBE-relaxed structure.
No peak broadening, texture or thermal motion is included.

Atomic structure:
Lattice parameters (Å, degrees): 3.2952 3.2952 8.6395 90.00 90.00 90.00
Space group I4/mmm (No. 139)
Inequivalent atoms, fractional coordinates:
Be: 0.0000 0.0000 0.1328 x4
V: 0.0000 0.0000 0.5000 x2
H: 0.0000 0.0000 0.3006 x4
H: 0.0000 0.5000 0.0000 x4

Top 6 peaks for 5 to 70 degrees two-theta, by angle:
index  Position (°2θ)  I_rel
0 0 2  20.56  82.8
1 0 1  29.00  100.0
1 1 0  38.64  47.0
1 0 3  41.65  64.3
1 1 2  44.16  32.2
1 0 5  60.50  19.3

[6]
# Pu6Ge3Ir
Computed X-ray powder pattern, λ = 1.5418 Å (Cu Kα). Input: a GGA-PBE-relaxed structure.
No peak broadening, texture or thermal motion is included.

Atomic structure:
Lattice parameters (Å, degrees): 10.3691 11.1913 8.0971 90.00 90.00 90.00
Space group Cmcm (No. 63)
Inequivalent atoms, fractional coordinates:
Pu: 0.0000 0.1767 0.0083 x8
Pu: 0.1660 0.5000 0.0000 x8
Pu: 0.2438 0.2553 0.2500 x8
Ge: 0.0000 0.3675 0.7500 x4
Ge: 0.1236 0.0027 0.7500 x8
Ir: 0.0000 0.3960 0.2500 x4

Top 6 peaks for 5 to 70 degrees two-theta, by angle:
index  Position (°2θ)  I_rel
2 2 2  32.30  100.0
1 3 2  33.80  74.4
3 1 2  35.07  73.9
2 4 0  36.49  38.5
4 2 0  38.26  38.9
0 0 4  44.77  32.4

[7]
# YH4Rh3
Computed X-ray powder pattern, λ = 1.5418 Å (Cu Kα). Input: a GGA-PBE-relaxed structure.
No peak broadening, texture or thermal motion is included.

Atomic structure:
Lattice parameters (Å, degrees): 5.3966 5.3966 5.3966 90.00 90.00 90.00
Space group Pm-3n (No. 223)
Inequivalent atoms, fractional coordinates:
Y: 0.0000 0.0000 0.0000 x2
H: 0.2500 0.2500 0.2500 x8
Rh: 0.0000 0.2500 0.5000 x6

Top 6 peaks for 5 to 70 degrees two-theta, by angle:
index  Position (°2θ)  I_rel
2 0 0  33.20  27.8
2 1 0  37.26  100.0
2 1 1  40.96  65.7
3 2 0  62.00  21.9
3 2 1  64.62  33.0
4 0 0  69.70  14.3

[8]
# Ac2Pr7Sm4
Computed X-ray powder pattern, λ = 1.5418 Å (Cu Kα). Input: a GGA-PBE-relaxed structure.
No peak broadening, texture or thermal motion is included.

Atomic structure:
Lattice parameters (Å, degrees): 6.4146 6.4146 13.5063 90.00 90.00 120.00
Space group P-31m (No. 162)
Inequivalent atoms, fractional coordinates:
Ac: 0.3333 0.6667 0.0000 x2
Pr: 0.0000 0.0000 0.0000 x1
Pr: 0.0000 0.3703 0.2275 x6
Sm: 0.0000 0.0000 0.3933 x2
Sm: 0.3333 0.6667 0.5000 x2

Top 6 peaks for 5 to 70 degrees two-theta, by angle:
index  Position (°2θ)  I_rel
0 0 4  26.40  24.1
1 1 0  27.82  21.3
1 1 1  28.61  31.7
2 -1 2  30.86  100.0
1 1 3  34.33  30.4
3 0 0  49.21  27.1